Record 1
Structure and theoretical X-ray diffraction stick pattern of K2Zn2AsO6 (the GGA-PBE geometry in Alexandria; Cu Kα X-rays).
No peak broadening, texture or thermal motion is included.

Largest 10 diffraction maxima, sorted by position, 10° ≤ 2θ ≤ 90°:
- 2θ = 15.3°, d = 5.794 Å, intensity 365
- 2θ = 20.5°, d = 4.325 Å, intensity 147
- 2θ = 31.1°, d = 2.879 Å, intensity 914
- 2θ = 31.4°, d = 2.852 Å, intensity 1000
- 2θ = 34.8°, d = 2.578 Å, intensity 133
- 2θ = 44.7°, d = 2.026 Å, intensity 248
- 2θ = 55.3°, d = 1.662 Å, intensity 161
- 2θ = 55.5°, d = 1.657 Å, intensity 452
- 2θ = 64.8°, d = 1.439 Å, intensity 180
- 2θ = 73.7°, d = 1.285 Å, intensity 141

Structure:
abc: 5.7577 5.7577 17.3827
angles: 90.00 90.00 120.00
Space group R-3m (No. 166, hexagonal axes)
Unique sites:
K (0.0000, 0.0000, 0.2018) [6 per cell]
Zn (0.0000, 0.0000, 0.3846) [6 per cell]
As (0.0000, 0.0000, 0.0000) [3 per cell]
O (0.0394, 0.5197, 0.7330) [18 per cell]

---

Record 2
Structure and theoretical X-ray diffraction stick pattern of K7As4P (the GGA-PBE geometry in Alexandria; Cu Kα X-rays).
No peak broadening, texture or thermal motion is included.

Largest 10 diffraction maxima, sorted by position, 10° ≤ 2θ ≤ 90°:
- 2θ = 12.9°, d = 6.884 Å, intensity 277
- 2θ = 13.5°, d = 6.572 Å, intensity 320
- 2θ = 22.2°, d = 4.005 Å, intensity 224
- 2θ = 27.6°, d = 3.233 Å, intensity 262
- 2θ = 28.9°, d = 3.092 Å, intensity 1000
- 2θ = 32.5°, d = 2.758 Å, intensity 274
- 2θ = 33.4°, d = 2.684 Å, intensity 228
- 2θ = 34.0°, d = 2.633 Å, intensity 726
- 2θ = 34.1°, d = 2.626 Å, intensity 273
- 2θ = 34.7°, d = 2.582 Å, intensity 232

Structure:
abc: 10.503 9.115 8.426
angles: 90.00 90.00 90.00
Space group Pmn2_1 (No. 31)
Unique sites:
K (0.000, 0.019, 0.000) [2 per cell]
K (0.000, 0.335, 0.232) [2 per cell]
K (0.000, 0.858, 0.504) [2 per cell]
K (0.216, 0.164, 0.681) [4 per cell]
K (0.226, 0.522, 0.521) [4 per cell]
As (0.000, 0.419, 0.811) [2 per cell]
As (0.000, 0.685, 0.175) [2 per cell]
As (0.190, 0.795, 0.800) [4 per cell]
P (0.000, 0.669, 0.893) [2 per cell]

---

Record 3
Structure and theoretical X-ray diffraction stick pattern of KPaAs2Pt2 (the GGA-PBE geometry in Alexandria; Cu Kα X-rays).
No peak broadening, texture or thermal motion is included.

Largest 10 diffraction maxima, sorted by position, 10° ≤ 2θ ≤ 90°:
- 2θ = 26.0°, d = 3.431 Å, intensity 210
- 2θ = 31.2°, d = 2.868 Å, intensity 1000
- 2θ = 38.5°, d = 2.340 Å, intensity 337
- 2θ = 42.2°, d = 2.140 Å, intensity 531
- 2θ = 43.4°, d = 2.083 Å, intensity 205
- 2θ = 47.0°, d = 1.932 Å, intensity 176
- 2θ = 53.4°, d = 1.715 Å, intensity 222
- 2θ = 58.4°, d = 1.579 Å, intensity 104
- 2θ = 67.8°, d = 1.382 Å, intensity 134
- 2θ = 70.3°, d = 1.339 Å, intensity 196

Structure:
abc: 4.2809 4.2809 9.0511
angles: 90.00 90.00 120.00
Space group P-3m1 (No. 164)
Unique sites:
K (0.0000, 0.0000, 0.0000) [1 per cell]
Pa (0.0000, 0.0000, 0.5000) [1 per cell]
As (0.3333, 0.6667, 0.7342) [2 per cell]
Pt (0.3333, 0.6667, 0.3206) [2 per cell]

---

Record 4
Structure and theoretical X-ray diffraction stick pattern of KAsPdPb (the GGA-PBE geometry in Alexandria; Cu Kα X-rays).
No peak broadening, texture or thermal motion is included.

Largest 10 diffraction maxima, sorted by position, 10° ≤ 2θ ≤ 90°:
- 2θ = 12.7°, d = 6.980 Å, intensity 1000
- 2θ = 23.9°, d = 3.717 Å, intensity 203
- 2θ = 25.1°, d = 3.553 Å, intensity 246
- 2θ = 29.2°, d = 3.063 Å, intensity 381
- 2θ = 31.9°, d = 2.805 Å, intensity 791
- 2θ = 41.4°, d = 2.180 Å, intensity 517
- 2θ = 42.0°, d = 2.151 Å, intensity 217
- 2θ = 43.5°, d = 2.081 Å, intensity 305
- 2θ = 53.2°, d = 1.721 Å, intensity 185
- 2θ = 69.6°, d = 1.351 Å, intensity 165

Structure:
abc: 4.3610 4.3610 20.9389
angles: 90.00 90.00 120.00
Space group R3m (No. 160, hexagonal axes)
Unique sites:
K (0.0000, 0.0000, 0.0000) [3 per cell]
As (0.0000, 0.0000, 0.5589) [3 per cell]
Pd (0.0000, 0.0000, 0.2067) [3 per cell]
Pb (0.0000, 0.0000, 0.8035) [3 per cell]

---

Record 5
Structure and theoretical X-ray diffraction stick pattern of KAsRhPb (the GGA-PBE geometry in Alexandria; Cu Kα X-rays).
No peak broadening, texture or thermal motion is included.

Largest 10 diffraction maxima, sorted by position, 10° ≤ 2θ ≤ 90°:
- 2θ = 14.0°, d = 6.309 Å, intensity 1000
- 2θ = 28.3°, d = 3.154 Å, intensity 189
- 2θ = 29.7°, d = 3.007 Å, intensity 150
- 2θ = 30.6°, d = 2.925 Å, intensity 203
- 2θ = 33.0°, d = 2.715 Å, intensity 675
- 2θ = 41.5°, d = 2.177 Å, intensity 382
- 2θ = 42.5°, d = 2.127 Å, intensity 285
- 2θ = 45.0°, d = 2.015 Å, intensity 231
- 2θ = 53.1°, d = 1.723 Å, intensity 265
- 2θ = 71.8°, d = 1.315 Å, intensity 141

Structure:
abc: 4.253 4.253 12.618
angles: 90.00 90.00 90.00
Space group P4/nmm (No. 129, origin choice 2)
Unique sites:
K (0.250, 0.250, 0.238) [2 per cell]
As (0.250, 0.250, 0.898) [2 per cell]
Rh (0.250, 0.750, 0.000) [2 per cell]
Pb (0.250, 0.750, 0.500) [2 per cell]

---

Record 6
Structure and theoretical X-ray diffraction stick pattern of KZnAsPb (the GGA-PBE geometry in Alexandria; Cu Kα X-rays).
No peak broadening, texture or thermal motion is included.

Largest 10 diffraction maxima, sorted by position, 10° ≤ 2θ ≤ 90°:
- 2θ = 13.3°, d = 6.672 Å, intensity 1000
- 2θ = 20.0°, d = 4.448 Å, intensity 242
- 2θ = 26.7°, d = 3.336 Å, intensity 185
- 2θ = 30.2°, d = 2.963 Å, intensity 383
- 2θ = 32.4°, d = 2.765 Å, intensity 751
- 2θ = 40.1°, d = 2.246 Å, intensity 461
- 2θ = 42.1°, d = 2.149 Å, intensity 309
- 2θ = 44.3°, d = 2.045 Å, intensity 220
- 2θ = 50.9°, d = 1.795 Å, intensity 258
- 2θ = 70.7°, d = 1.332 Å, intensity 209

Structure:
abc: 4.297 4.297 13.345
angles: 90.00 90.00 90.00
Space group P4/nmm (No. 129, origin choice 2)
Unique sites:
K (0.250, 0.250, 0.226) [2 per cell]
Zn (0.250, 0.750, 0.000) [2 per cell]
As (0.250, 0.250, 0.887) [2 per cell]
Pb (0.250, 0.750, 0.500) [2 per cell]